Computed powder diffraction line list of YW2O8 for Cu Kα, 1.54184 Å, from a DFT-relaxed cell (PBE+U, Alexandria).

Peak list (10 most intense, 5° ≤ 2θ ≤ 70°, by angle)
| h k l | two_theta | I/Imax |
| --- | --- | --- |
| 0 0 2 | 16.0 | 54 |
| 1 1 0 | 26.0 | 27 |
| 1 1 2 | 30.6 | 100 |
| 2 0 0 | 37.0 | 15 |
| 2 0 2 | 40.6 | 13 |
| 1 1 4 | 41.9 | 16 |
| 2 0 4 | 49.9 | 39 |
| 2 2 0 | 53.4 | 16 |
| 1 1 6 | 56.6 | 18 |
| 3 1 2 | 62.8 | 26 |

Atomic structure:
abc: 4.855 4.855 11.085
angles: 90.00 90.00 90.00
Space group I4/mmm (No. 139)
Unique sites:
Y (0.000, 0.000, 0.000)
W (0.000, 0.500, 0.250)
O (0.248, 0.248, 0.145)